Entry 1:
Diffraction record for Y8S6N. The powder diffraction line list is computed, not measured: it uses a cell relaxed with GGA-PBE and Cu Kα X-rays.
Neutral-atom scattering factors, no anomalous dispersion.

Top 10 peaks for 5° ≤ 2θ ≤ 70°, by intensity:
- 2θ = 35.85°, 2.505 Å, rel. 100.0
- 2θ = 31.67°, 2.825 Å, rel. 85.2
- 2θ = 28.75°, 3.105 Å, rel. 84.9
- 2θ = 30.66°, 2.916 Å, rel. 52.7
- 2θ = 43.30°, 2.090 Å, rel. 45.9
- 2θ = 52.27°, 1.750 Å, rel. 41.4
- 2θ = 56.18°, 1.637 Å, rel. 28.6
- 2θ = 45.13°, 2.009 Å, rel. 27.3
- 2θ = 38.29°, 2.351 Å, rel. 27.1
- 2θ = 20.96°, 4.238 Å, rel. 25.9

Crystal structure
```
Y8S6N
1.0
9.7871 0.0000 0.0000
-4.8935 8.4759 0.0000
0.0000 0.0000 4.0178
Y S N
8 6 1
direct
0.0266 0.3035 0.2346 Y
0.2770 0.9734 0.2346 Y
0.3035 0.2770 0.7654 Y
0.3333 0.6667 0.7560 Y
0.6667 0.3333 0.2440 Y
0.6965 0.7230 0.2346 Y
0.7230 0.0266 0.7654 Y
0.9734 0.6965 0.7654 Y
0.1293 0.6532 0.2577 S
0.3468 0.4761 0.2577 S
0.4761 0.1293 0.7423 S
0.5239 0.8707 0.2577 S
0.6532 0.5239 0.7423 S
0.8707 0.3468 0.7423 S
0.0000 0.0000 0.0000 N
```

---

Entry 2:
Diffraction record for Sb4N. The powder diffraction line list is computed, not measured: it uses a cell relaxed with GGA-PBE and Cu Kα X-rays.
Neutral-atom scattering factors, no anomalous dispersion.

Top 5 peaks for 5° ≤ 2θ ≤ 70°, by intensity:
- 2θ = 32.03°, 2.795 Å, rel. 100.0
- 2θ = 37.15°, 2.420 Å, rel. 56.1
- 2θ = 63.77°, 1.459 Å, rel. 40.7
- 2θ = 53.55°, 1.711 Å, rel. 38.0
- 2θ = 66.97°, 1.397 Å, rel. 12.7

Crystal structure
```
Sb4N
1.0
4.8404 0.0000 0.0000
0.0000 4.8404 0.0000
0.0000 0.0000 4.8404
Sb N
4 1
direct
0.0000 0.0000 0.0000 Sb
0.0000 0.5000 0.5000 Sb
0.5000 0.0000 0.5000 Sb
0.5000 0.5000 0.0000 Sb
0.5000 0.5000 0.5000 N
```

---

Entry 3:
Diffraction record for Sc4SbN. The powder diffraction line list is computed, not measured: it uses a cell relaxed with GGA-PBE and Cu Kα X-rays.
Neutral-atom scattering factors, no anomalous dispersion.

Top 10 peaks for 5° ≤ 2θ ≤ 70°, by intensity:
- 2θ = 35.04°, 2.561 Å, rel. 100.0
- 2θ = 37.86°, 2.376 Å, rel. 84.3
- 2θ = 37.09°, 2.424 Å, rel. 83.2
- 2θ = 33.58°, 2.669 Å, rel. 66.3
- 2θ = 32.24°, 2.777 Å, rel. 34.1
- 2θ = 17.63°, 5.031 Å, rel. 29.0
- 2θ = 23.70°, 3.754 Å, rel. 29.0
- 2θ = 58.35°, 1.581 Å, rel. 28.9
- 2θ = 26.94°, 3.309 Å, rel. 28.0
- 2θ = 13.41°, 6.603 Å, rel. 25.4

Crystal structure
```
Sc4SbN
1.0
6.8545 -2.7209 0.0000
6.8545 2.7209 0.0000
-1.7619 0.0000 6.3219
Sc Sb N
8 2 2
direct
0.0270 0.1792 0.4378 Sc
0.1792 0.0270 0.9378 Sc
0.2520 0.3543 0.8159 Sc
0.3543 0.2520 0.3159 Sc
0.6457 0.7480 0.6841 Sc
0.7480 0.6457 0.1841 Sc
0.8208 0.9730 0.0622 Sc
0.9730 0.8208 0.5622 Sc
0.3929 0.6071 0.2500 Sb
0.6071 0.3929 0.7500 Sb
0.0000 0.5000 0.5000 N
0.5000 0.0000 0.0000 N
```

---

Entry 4:
Diffraction record for Sc5Sb4N. The powder diffraction line list is computed, not measured: it uses a cell relaxed with GGA-PBE and Cu Kα X-rays.
Neutral-atom scattering factors, no anomalous dispersion.

Top 10 peaks for 5° ≤ 2θ ≤ 70°, by intensity:
- 2θ = 32.12°, 2.787 Å, rel. 100.0
- 2θ = 44.87°, 2.020 Å, rel. 72.5
- 2θ = 27.26°, 3.271 Å, rel. 63.4
- 2θ = 30.48°, 2.933 Å, rel. 61.3
- 2θ = 34.13°, 2.627 Å, rel. 30.9
- 2θ = 56.24°, 1.636 Å, rel. 28.2
- 2θ = 46.06°, 1.971 Å, rel. 27.8
- 2θ = 54.35°, 1.688 Å, rel. 26.6
- 2θ = 39.96°, 2.256 Å, rel. 20.8
- 2θ = 66.47°, 1.407 Å, rel. 13.8

Crystal structure
```
Sc5Sb4N
1.0
-4.4066 4.4066 2.9327
4.4066 -4.4066 2.9327
4.4066 4.4066 -2.9327
Sc Sb N
5 4 1
direct
0.0000 0.0000 0.0000 Sc
0.3418 0.6858 0.8514 Sc
0.4903 0.3418 0.6560 Sc
0.6858 0.8343 0.3440 Sc
0.8343 0.4903 0.1486 Sc
0.0090 0.7788 0.6075 Sb
0.1713 0.4015 0.3925 Sb
0.4015 0.0090 0.2302 Sb
0.7788 0.1713 0.7698 Sb
0.6409 0.6409 0.0000 N
```

---

Entry 5:
Diffraction record for SbWSeN2. The powder diffraction line list is computed, not measured: it uses a cell relaxed with GGA-PBE and Cu Kα X-rays.
Neutral-atom scattering factors, no anomalous dispersion.

Top 10 peaks for 5° ≤ 2θ ≤ 70°, by intensity:
- 2θ = 28.08°, 3.178 Å, rel. 100.0
- 2θ = 31.52°, 2.839 Å, rel. 94.5
- 2θ = 47.42°, 1.917 Å, rel. 62.2
- 2θ = 58.03°, 1.589 Å, rel. 56.3
- 2θ = 34.50°, 2.600 Å, rel. 49.7
- 2θ = 45.17°, 2.007 Å, rel. 46.1
- 2θ = 22.14°, 4.015 Å, rel. 35.5
- 2θ = 54.03°, 1.697 Å, rel. 33.0
- 2θ = 65.79°, 1.419 Å, rel. 14.6
- 2θ = 41.37°, 2.182 Å, rel. 14.1

Crystal structure
```
SbWSeN2
1.0
4.0146 0.0000 0.0000
0.0000 4.0146 0.0000
0.0000 0.0000 5.1998
Sb W Se N
1 1 1 2
direct
0.0000 0.0000 0.0000 Sb
0.5000 0.5000 0.5000 W
0.5000 0.5000 0.0000 Se
0.0000 0.5000 0.5000 N
0.5000 0.0000 0.5000 N
```

---

Entry 6:
Diffraction record for Sm5Sb4N. The powder diffraction line list is computed, not measured: it uses a cell relaxed with GGA-PBE and Cu Kα X-rays.
Neutral-atom scattering factors, no anomalous dispersion.

Top 10 peaks for 5° ≤ 2θ ≤ 70°, by intensity:
- 2θ = 29.52°, 3.026 Å, rel. 100.0
- 2θ = 41.41°, 2.180 Å, rel. 77.0
- 2θ = 28.38°, 3.145 Å, rel. 53.6
- 2θ = 42.24°, 2.139 Å, rel. 30.2
- 2θ = 51.67°, 1.769 Å, rel. 29.6
- 2θ = 36.76°, 2.445 Å, rel. 15.8
- 2θ = 67.08°, 1.395 Å, rel. 15.8
- 2θ = 25.17°, 3.538 Å, rel. 15.6
- 2θ = 31.43°, 2.846 Å, rel. 14.4
- 2θ = 64.03°, 1.454 Å, rel. 12.4

Crystal structure
```
Sm5Sb4N
1.0
-4.7840 4.7840 3.1450
4.7840 -4.7840 3.1450
4.7840 4.7840 -3.1450
Sm Sb N
5 4 1
direct
0.0000 0.0000 0.0000 Sm
0.3139 0.6716 0.8324 Sm
0.4816 0.3139 0.6423 Sm
0.6716 0.8393 0.3577 Sm
0.8393 0.4816 0.1676 Sm
0.1670 0.3866 0.3939 Sb
0.3866 0.9927 0.2196 Sb
0.7731 0.1670 0.7804 Sb
0.9927 0.7731 0.6061 Sb
0.6375 0.6375 0.0000 N
```

---

Entry 7:
Diffraction record for SmThSb2N. The powder diffraction line list is computed, not measured: it uses a cell relaxed with GGA-PBE and Cu Kα X-rays.
Neutral-atom scattering factors, no anomalous dispersion.

Top 10 peaks for 5° ≤ 2θ ≤ 70°, by intensity:
- 2θ = 32.42°, 2.762 Å, rel. 100.0
- 2θ = 30.14°, 2.965 Å, rel. 84.1
- 2θ = 54.99°, 1.670 Å, rel. 45.0
- 2θ = 43.15°, 2.096 Å, rel. 38.3
- 2θ = 28.02°, 3.184 Å, rel. 26.8
- 2θ = 62.67°, 1.482 Å, rel. 16.3
- 2θ = 24.45°, 3.641 Å, rel. 14.4
- 2θ = 48.22°, 1.887 Å, rel. 12.5
- 2θ = 67.61°, 1.386 Å, rel. 10.5
- 2θ = 52.25°, 1.751 Å, rel. 9.8

Crystal structure
```
SmThSb2N
1.0
4.1927 0.0000 0.0000
0.0000 4.1927 0.0000
0.0000 0.0000 14.6810
Sm Th Sb N
2 2 4 2
direct
0.2500 0.2500 0.0675 Sm
0.7500 0.7500 0.9325 Sm
0.2500 0.2500 0.5752 Th
0.7500 0.7500 0.4248 Th
0.2500 0.2500 0.2775 Sb
0.2500 0.2500 0.8497 Sb
0.7500 0.7500 0.1503 Sb
0.7500 0.7500 0.7225 Sb
0.2500 0.7500 0.5000 N
0.7500 0.2500 0.5000 N
```

---

Entry 8:
Diffraction record for SmTm2SbN4. The powder diffraction line list is computed, not measured: it uses a cell relaxed with GGA-PBE and Cu Kα X-rays.
Neutral-atom scattering factors, no anomalous dispersion.

Top 10 peaks for 5° ≤ 2θ ≤ 70°, by intensity:
- 2θ = 31.17°, 2.869 Å, rel. 100.0
- 2θ = 32.12°, 2.787 Å, rel. 65.3
- 2θ = 31.43°, 2.846 Å, rel. 58.1
- 2θ = 55.81°, 1.647 Å, rel. 33.5
- 2θ = 33.93°, 2.642 Å, rel. 30.3
- 2θ = 46.92°, 1.937 Å, rel. 28.7
- 2θ = 65.54°, 1.424 Å, rel. 26.3
- 2θ = 65.36°, 1.428 Å, rel. 24.7
- 2θ = 43.79°, 2.067 Å, rel. 22.1
- 2θ = 34.86°, 2.574 Å, rel. 16.3

Crystal structure
```
SmTm2SbN4
1.0
1.6462 -6.6434 0.0000
1.6462 6.6434 0.0000
0.0000 0.0000 11.3859
Sm Tm Sb N
2 4 2 8
direct
0.2376 0.7624 0.7500 Sm
0.7624 0.2376 0.2500 Sm
0.3684 0.6316 0.0032 Tm
0.3684 0.6316 0.4968 Tm
0.6316 0.3684 0.5032 Tm
0.6316 0.3684 0.9968 Tm
0.0152 0.9848 0.2500 Sb
0.9848 0.0152 0.7500 Sb
0.0000 0.0000 0.0000 N
0.0000 0.0000 0.5000 N
0.2122 0.7878 0.1057 N
0.2122 0.7878 0.3943 N
0.4099 0.5901 0.2500 N
0.5901 0.4099 0.7500 N
0.7878 0.2122 0.6057 N
0.7878 0.2122 0.8943 N
```

---

Entry 9:
Diffraction record for Sm2Tm4Sb3N2. The powder diffraction line list is computed, not measured: it uses a cell relaxed with GGA-PBE and Cu Kα X-rays.
Neutral-atom scattering factors, no anomalous dispersion.

Top 10 peaks for 5° ≤ 2θ ≤ 70°, by intensity:
- 2θ = 34.94°, 2.568 Å, rel. 100.0
- 2θ = 28.38°, 3.144 Å, rel. 60.2
- 2θ = 39.26°, 2.295 Å, rel. 50.6
- 2θ = 68.39°, 1.372 Å, rel. 28.6
- 2θ = 31.00°, 2.885 Å, rel. 17.3
- 2θ = 56.74°, 1.623 Å, rel. 17.1
- 2θ = 64.64°, 1.442 Å, rel. 15.1
- 2θ = 49.12°, 1.855 Å, rel. 14.7
- 2θ = 54.05°, 1.697 Å, rel. 12.6
- 2θ = 59.69°, 1.549 Å, rel. 11.6

Crystal structure
```
Sm2Tm4Sb3N2
1.0
-2.2946 2.2946 12.5988
2.2946 -2.2946 12.5988
2.2946 2.2946 -12.5988
Sm Tm Sb N
2 4 3 2
direct
0.1936 0.1936 0.0000 Sm
0.8064 0.8064 0.0000 Sm
0.0830 0.5830 0.5000 Tm
0.4170 0.9170 0.5000 Tm
0.5830 0.0830 0.5000 Tm
0.9170 0.4170 0.5000 Tm
0.3235 0.3235 0.0000 Sb
0.5000 0.5000 0.0000 Sb
0.6765 0.6765 0.0000 Sb
0.0969 0.0969 0.0000 N
0.9031 0.9031 0.0000 N
```

---

Entry 10:
Diffraction record for Sm4Y2Sb3N2. The powder diffraction line list is computed, not measured: it uses a cell relaxed with GGA-PBE and Cu Kα X-rays.
Neutral-atom scattering factors, no anomalous dispersion.

Top 10 peaks for 5° ≤ 2θ ≤ 70°, by intensity:
- 2θ = 34.10°, 2.629 Å, rel. 100.0
- 2θ = 37.95°, 2.371 Å, rel. 50.2
- 2θ = 27.51°, 3.242 Å, rel. 36.7
- 2θ = 66.11°, 1.413 Å, rel. 30.7
- 2θ = 30.14°, 2.965 Å, rel. 21.0
- 2θ = 54.76°, 1.676 Å, rel. 17.1
- 2θ = 52.81°, 1.734 Å, rel. 14.6
- 2θ = 6.96°, 12.708 Å, rel. 14.2
- 2θ = 58.43°, 1.579 Å, rel. 12.4
- 2θ = 28.09°, 3.177 Å, rel. 12.2

Crystal structure
```
Sm4Y2Sb3N2
1.0
-2.3707 2.3707 12.7083
2.3707 -2.3707 12.7083
2.3707 2.3707 -12.7083
Sm Y Sb N
4 2 3 2
direct
0.0842 0.5842 0.5000 Sm
0.4158 0.9158 0.5000 Sm
0.5842 0.0842 0.5000 Sm
0.9158 0.4158 0.5000 Sm
0.1931 0.1931 0.0000 Y
0.8069 0.8069 0.0000 Y
0.3190 0.3190 0.0000 Sb
0.5000 0.5000 0.0000 Sb
0.6810 0.6810 0.0000 Sb
0.1058 0.1058 0.0000 N
0.8942 0.8942 0.0000 N
```

---

Entry 11:
Diffraction record for SnSbN. The powder diffraction line list is computed, not measured: it uses a cell relaxed with GGA-PBE and Cu Kα X-rays.
Neutral-atom scattering factors, no anomalous dispersion.

Top 10 peaks for 5° ≤ 2θ ≤ 70°, by intensity:
- 2θ = 7.77°, 11.381 Å, rel. 100.0
- 2θ = 29.70°, 3.008 Å, rel. 28.9
- 2θ = 23.45°, 3.794 Å, rel. 10.5
- 2θ = 42.59°, 2.123 Å, rel. 8.0
- 2θ = 30.33°, 2.947 Å, rel. 7.3
- 2θ = 42.47°, 2.129 Å, rel. 7.1
- 2θ = 30.53°, 2.928 Å, rel. 5.6
- 2θ = 35.73°, 2.513 Å, rel. 4.2
- 2θ = 34.34°, 2.611 Å, rel. 4.2
- 2θ = 35.08°, 2.558 Å, rel. 4.1

Crystal structure
```
SnSbN
1.0
4.2556 0.0000 0.0000
0.0000 4.2593 0.0000
-1.4674 -1.8873 11.3807
Sn Sb N
2 2 2
direct
0.0000 0.0000 0.0000 Sn
0.0932 0.1199 0.2672 Sn
0.4753 0.4684 0.9290 Sb
0.5633 0.5817 0.1814 Sb
0.6875 0.7039 0.5801 N
0.8678 0.8906 0.6223 N
```

---

Entry 12:
Diffraction record for Sr7Sb2N2. The powder diffraction line list is computed, not measured: it uses a cell relaxed with GGA-PBE and Cu Kα X-rays.
Neutral-atom scattering factors, no anomalous dispersion.

Top 10 peaks for 5° ≤ 2θ ≤ 70°, by intensity:
- 2θ = 36.21°, 2.481 Å, rel. 100.0
- 2θ = 28.95°, 3.085 Å, rel. 61.1
- 2θ = 33.38°, 2.684 Å, rel. 58.0
- 2θ = 29.79°, 2.999 Å, rel. 47.3
- 2θ = 27.93°, 3.195 Å, rel. 41.6
- 2θ = 26.13°, 3.410 Å, rel. 39.7
- 2θ = 23.61°, 3.769 Å, rel. 38.0
- 2θ = 40.87°, 2.208 Å, rel. 26.5
- 2θ = 53.76°, 1.705 Å, rel. 22.9
- 2θ = 36.77°, 2.444 Å, rel. 22.7

Crystal structure
```
Sr7Sb2N2
1.0
5.3685 -4.4157 0.0000
5.3685 4.4157 0.0000
-0.0079 0.0000 7.2320
Sr Sb N
7 2 2
direct
0.0000 0.0000 0.0000 Sr
0.0006 0.4997 0.7746 Sr
0.4994 0.4994 0.2116 Sr
0.4997 0.0006 0.7746 Sr
0.5003 0.9994 0.2254 Sr
0.5006 0.5006 0.7884 Sr
0.9994 0.5003 0.2254 Sr
0.2132 0.7868 0.5000 Sb
0.7868 0.2132 0.5000 Sb
0.2799 0.2799 0.0001 N
0.7201 0.7201 0.9999 N
```

---

Entry 13:
Diffraction record for Sr3SbN3. The powder diffraction line list is computed, not measured: it uses a cell relaxed with GGA-PBE and Cu Kα X-rays.
Neutral-atom scattering factors, no anomalous dispersion.

Top 10 peaks for 5° ≤ 2θ ≤ 70°, by intensity:
- 2θ = 30.76°, 2.906 Å, rel. 100.0
- 2θ = 33.68°, 2.661 Å, rel. 40.9
- 2θ = 27.87°, 3.201 Å, rel. 37.7
- 2θ = 25.68°, 3.469 Å, rel. 30.1
- 2θ = 34.19°, 2.623 Å, rel. 28.7
- 2θ = 48.75°, 1.868 Å, rel. 19.8
- 2θ = 38.26°, 2.352 Å, rel. 18.2
- 2θ = 12.76°, 6.939 Å, rel. 18.0
- 2θ = 38.94°, 2.313 Å, rel. 17.3
- 2θ = 60.73°, 1.525 Å, rel. 17.3

Crystal structure
```
Sr3SbN3
1.0
8.0122 0.0000 0.0000
-4.0061 6.9387 0.0000
0.0000 0.0000 5.3222
Sr Sb N
6 2 6
direct
0.0997 0.3585 0.2500 Sr
0.2588 0.9003 0.2500 Sr
0.3585 0.2588 0.7500 Sr
0.6415 0.7412 0.2500 Sr
0.7412 0.0997 0.7500 Sr
0.9003 0.6415 0.7500 Sr
0.3333 0.6667 0.7500 Sb
0.6667 0.3333 0.2500 Sb
0.1055 0.3797 0.7500 N
0.2741 0.8945 0.7500 N
0.3797 0.2741 0.2500 N
0.6203 0.7259 0.7500 N
0.7259 0.1055 0.2500 N
0.8945 0.6203 0.2500 N
```